Theoretical XRD peak list of ScSnPt for Cu Kα (weighted mean of Kα1 and Kα2), from a crystal structure in Alexandria, relaxed with PBE.

Atomic structure:
Cell lengths 7.464, 7.464, 7.369 Å; angles 90.00, 90.00, 120.00 degrees
Element x y z (fractional)
Sc: 0.018 0.404 0.250
Sc: 0.386 0.982 0.250
Sc: 0.404 0.018 0.750
Sc: 0.596 0.614 0.250
Sc: 0.614 0.596 0.750
Sc: 0.982 0.386 0.750
Sn: 0.000 0.727 0.000
Sn: 0.000 0.727 0.500
Sn: 0.273 0.273 0.000
Sn: 0.273 0.273 0.500
Sn: 0.727 0.000 0.000
Sn: 0.727 0.000 0.500
Pt: 0.000 0.000 0.250
Pt: 0.000 0.000 0.750
Pt: 0.333 0.667 0.537
Pt: 0.333 0.667 0.963
Pt: 0.667 0.333 0.037
Pt: 0.667 0.333 0.463

Top 10 peaks for 2θ from 10° to 90°, low angle first:
23.84°, I 85; 24.15°, I 24; 27.87°, I 45; 34.20°, I 61; 36.79°, I 25; 37.00°, I 100; 41.93°, I 93; 44.50°, I 88; 66.81°, I 32; 68.17°, I 45